This entry pairs a crystal structure of Ba2WClO4 with its theoretical powder X-ray diffraction pattern. Radiation: Cu Kα, 1.54184 Å. Structure: the PBE+U geometry in Alexandria.
Peak positions follow from Bragg's law for the DFT cell and can differ from measured ones.

Structural model:
```
data_Ba2WClO4
_space_group_name_H-M_alt 'C 1 2/m 1'
_space_group_IT_number 12
_space_group_name_Hall '-C 2y'
_cell_length_a 10.190
_cell_length_b 3.480
_cell_length_c 10.244
_cell_angle_alpha 90.00
_cell_angle_beta 112.79
_cell_angle_gamma 90.00
loop_
_atom_site_label
_atom_site_fract_x
_atom_site_fract_y
_atom_site_fract_z
_atom_site_occupancy
Ba1 0.167 0.000 0.268 1
W1 0.000 0.000 0.500 1
Cl1 0.000 0.500 0.000 1
O1 0.104 0.500 0.459 1
O2 0.131 0.000 0.692 1
```

Peak list (12 most intense, 15 to 90 degrees two-theta, sorted by position)
- 2θ = 20.88°, I = 67
- 2θ = 24.21°, I = 54
- 2θ = 27.32°, I = 100
- 2θ = 30.15°, I = 93
- 2θ = 31.65°, I = 39
- 2θ = 35.49°, I = 26
- 2θ = 36.91°, I = 40
- 2θ = 37.85°, I = 63
- 2θ = 38.12°, I = 33
- 2θ = 41.05°, I = 28
- 2θ = 44.22°, I = 25
- 2θ = 48.31°, I = 24